Simulated powder diffractogram
Compound: CsCoCuF6
Radiation: Cu Ka
Structure: a crystal structure in Alexandria, relaxed with GGA+U

Principal peaks in the range 5 to 70 degrees two-theta, by angle:
d_spacing, I (rel.)
3.682, 16
3.673, 32
3.139, 100
3.127, 50
3.002, 29
2.004, 26
1.997, 20
1.837, 47
1.584, 14
1.355, 17

Cell and atoms:
```
CsCoCuF6
1.0
-3.6760 3.6890 5.1804
3.6760 -3.6890 5.1804
3.6760 3.6890 -5.1804
Cs Co Cu F
2 2 2 12
Direct
0.3769 0.1269 0.2500
0.6231 0.8731 0.7500
0.0000 0.0000 0.5000
0.0000 0.5000 0.0000
0.0000 0.5000 0.5000
0.5000 0.5000 0.0000
0.0686 0.4271 0.2433
0.0686 0.8253 0.6416
0.0697 0.8197 0.2500
0.3162 0.1747 0.7433
0.3162 0.5729 0.1416
0.3192 0.5692 0.7500
0.6808 0.4308 0.2500
0.6838 0.4271 0.8584
0.6838 0.8253 0.2567
0.9303 0.1803 0.7500
0.9314 0.1747 0.3584
0.9314 0.5729 0.7567
```